Theoretical powder XRD pattern
Compound: Al2TlF7
Radiation: a wavelength of 1.5418 Å
Structure: the GGA-PBE geometry in Alexandria
Intensities are scaled so that the largest is 100.

Peak list (10 most intense, 2θ = 10–80°, in order of rising 2θ)
d/Å  Position (°2θ)  intensity
6.213  14.26  64
5.660  15.66  75
3.470  25.67  93
3.179  28.07  31
3.087  28.93  37
3.011  29.67  100
2.830  31.62  32
2.484  36.16  55
2.340  38.48  40
1.886  48.26  36

Crystal structure
a = 6.9788 Å, b = 6.9788 Å, c = 3.5565 Å
α = 90.00°, β = 90.00°, γ = 125.81°
Fractional coordinates of all 10 atoms:
Al1 0.1471 0.8529 0.0000
Al2 0.8529 0.1471 0.0000
Tl1 0.5000 0.5000 0.5000
F1 0.0000 0.0000 0.0000
F2 0.1288 0.4198 0.0000
F3 0.1795 0.8205 0.5000
F4 0.4198 0.1288 0.0000
F5 0.5802 0.8712 0.0000
F6 0.8205 0.1795 0.5000
F7 0.8712 0.5802 0.0000

=====

Theoretical powder XRD pattern
Compound: AlTlF4
Radiation: a wavelength of 1.5418 Å
Structure: the GGA-PBE geometry in Alexandria
Intensities are scaled so that the largest is 100.

Peak list (10 most intense, 2θ = 10–80°, in order of rising 2θ)
d/Å  Position (°2θ)  intensity
6.472  13.68  47
3.696  24.08  24
3.236  27.57  28
3.210  27.79  100
2.614  34.31  31
2.435  36.92  43
2.424  37.10  47
1.863  48.88  27
1.848  49.31  19
1.602  57.54  27

Crystal structure
a = 3.6964 Å, b = 3.6964 Å, c = 6.4717 Å
α = 90.00°, β = 90.00°, γ = 90.00°
Fractional coordinates of all 6 atoms:
Al1 0.0000 0.0000 0.0000
Tl1 0.5000 0.5000 0.5000
F1 0.0000 0.0000 0.2774
F2 0.0000 0.0000 0.7226
F3 0.0000 0.5000 0.0000
F4 0.5000 0.0000 0.0000

=====

Theoretical powder XRD pattern
Compound: AlTlF4
Radiation: a wavelength of 1.5418 Å
Structure: the GGA-PBE geometry in Alexandria
Intensities are scaled so that the largest is 100.

Peak list (10 most intense, 2θ = 10–80°, in order of rising 2θ)
d/Å  Position (°2θ)  intensity
6.487  13.65  49
3.663  24.30  26
3.244  27.50  29
3.190  27.97  100
2.590  34.63  33
2.428  37.02  46
2.406  37.38  45
1.862  48.91  27
1.832  49.78  18
1.588  58.07  29

Crystal structure
a = 5.1804 Å, b = 5.1804 Å, c = 6.4872 Å
α = 90.00°, β = 90.00°, γ = 90.00°
Fractional coordinates of all 12 atoms:
Al1 0.0000 0.0000 0.0000
Al2 0.5000 0.5000 0.0000
Tl1 0.0000 0.5000 0.5000
Tl2 0.5000 0.0000 0.5000
F1 0.0000 0.0000 0.2767
F2 0.0000 0.0000 0.7233
F3 0.2109 0.2891 0.0000
F4 0.2891 0.7891 0.0000
F5 0.5000 0.5000 0.2767
F6 0.5000 0.5000 0.7233
F7 0.7109 0.2109 0.0000
F8 0.7891 0.7109 0.0000

=====

Theoretical powder XRD pattern
Compound: TmAlF5
Radiation: a wavelength of 1.5418 Å
Structure: the GGA-PBE geometry in Alexandria
Intensities are scaled so that the largest is 100.

Peak list (10 most intense, 2θ = 10–80°, in order of rising 2θ)
d/Å  Position (°2θ)  intensity
4.998  17.75  100
3.965  22.42  90
3.451  25.82  34
3.293  27.08  98
3.218  27.72  56
2.499  35.94  24
2.445  36.76  24
2.354  38.24  67
1.872  48.63  28
1.695  54.10  24

Crystal structure
a = 5.4487 Å, b = 5.4487 Å, c = 3.8327 Å
α = 110.41°, β = 110.41°, γ = 72.41°
Fractional coordinates of all 7 atoms:
Tm1 0.0000 0.0000 0.0000
Al1 0.5000 0.5000 0.5000
F1 0.2013 0.7987 0.5000
F2 0.2723 0.2723 0.2735
F3 0.5000 0.5000 0.0000
F4 0.7277 0.7277 0.7265
F5 0.7987 0.2013 0.5000

=====

Repeat the third record exactly.
Theoretical powder XRD pattern
Compound: AlTlF4
Radiation: a wavelength of 1.5418 Å
Structure: the GGA-PBE geometry in Alexandria
Intensities are scaled so that the largest is 100.

Peak list (10 most intense, 2θ = 10–80°, in order of rising 2θ)
d/Å  Position (°2θ)  intensity
6.487  13.65  49
3.663  24.30  26
3.244  27.50  29
3.190  27.97  100
2.590  34.63  33
2.428  37.02  46
2.406  37.38  45
1.862  48.91  27
1.832  49.78  18
1.588  58.07  29

Crystal structure
a = 5.1804 Å, b = 5.1804 Å, c = 6.4872 Å
α = 90.00°, β = 90.00°, γ = 90.00°
Fractional coordinates of all 12 atoms:
Al1 0.0000 0.0000 0.0000
Al2 0.5000 0.5000 0.0000
Tl1 0.0000 0.5000 0.5000
Tl2 0.5000 0.0000 0.5000
F1 0.0000 0.0000 0.2767
F2 0.0000 0.0000 0.7233
F3 0.2109 0.2891 0.0000
F4 0.2891 0.7891 0.0000
F5 0.5000 0.5000 0.2767
F6 0.5000 0.5000 0.7233
F7 0.7109 0.2109 0.0000
F8 0.7891 0.7109 0.0000